Sm6MgGe2S14: calculated X-ray diffraction stick pattern (Cu Ka), based on a DFT-relaxed cell (GGA-PBE, the Materials Project).
Neutral-atom scattering factors, no anomalous dispersion.

Atomic structure:
Unit cell a=10.0972 b=10.0972 c=5.8079 alpha=90.00 beta=90.00 gamma=120.00
Space group P3 (No. 143)
Asymmetric unit:
Sm  0.0234  0.4661  0.0000 x3
Sm  0.3073  0.2000  0.4972 x3
Mg  0.6667  0.3333  0.7139 x1
Ge  0.0000  0.0000  0.0791 x1
Ge  0.3333  0.6667  0.5825 x1
S  0.0000  0.0000  0.7009 x1
S  0.0852  0.2325  0.2354 x3
S  0.1870  0.7527  0.7393 x3
S  0.3333  0.6667  0.2036 x1
S  0.4175  0.2385  0.9573 x3
S  0.5094  0.0828  0.4786 x3

Principal peaks in the range 2θ from 10° to 80°, sorted by position:
- (2 0 0), 20.31°, d = 4.372 Å, I 33
- (2 -1 1), 23.35°, d = 3.810 Å, I 25
- (2 0 1), 25.50°, d = 3.493 Å, I 100
- (2 1 0), 26.98°, d = 3.305 Å, I 17
- (0 0 2), 30.79°, d = 2.904 Å, I 19
- (0 3 1), 34.43°, d = 2.605 Å, I 17
- (2 2 0), 35.56°, d = 2.524 Å, I 37
- (3 1 0), 37.12°, d = 2.422 Å, I 57
- (1 3 1), 40.30°, d = 2.238 Å, I 29
- (2 1 2), 41.37°, d = 2.183 Å, I 30
- (4 -2 2), 47.73°, d = 1.906 Å, I 20
- (4 1 1), 50.33°, d = 1.813 Å, I 20



Tb6MgGe2S14: calculated X-ray diffraction stick pattern (Cu Ka), based on a DFT-relaxed cell (GGA-PBE, the Materials Project).
Neutral-atom scattering factors, no anomalous dispersion.

Atomic structure:
Unit cell a=9.8843 b=9.8843 c=5.8209 alpha=90.00 beta=90.00 gamma=120.00
Space group P3 (No. 143)
Asymmetric unit:
Tb  0.0261  0.4694  0.0000 x3
Tb  0.3088  0.1978  0.5051 x3
Mg  0.6667  0.3333  0.2173 x1
Ge  0.0000  0.0000  0.0848 x1
Ge  0.3333  0.6667  0.5798 x1
S  0.0000  0.0000  0.7057 x1
S  0.0887  0.2357  0.2447 x3
S  0.1858  0.7550  0.7401 x3
S  0.3333  0.6667  0.2016 x1
S  0.4148  0.2365  0.9680 x3
S  0.5136  0.0813  0.4489 x3

Principal peaks in the range 2θ from 10° to 80°, sorted by position:
- (0 1 1), 18.43°, d = 4.813 Å, I 17
- (2 0 0), 20.75°, d = 4.280 Å, I 32
- (1 1 1), 23.62°, d = 3.767 Å, I 23
- (0 2 1), 25.84°, d = 3.448 Å, I 100
- (0 0 2), 30.72°, d = 2.910 Å, I 19
- (2 2 0), 36.36°, d = 2.471 Å, I 37
- (2 0 2), 37.36°, d = 2.407 Å, I 30
- (3 1 0), 37.90°, d = 2.374 Å, I 23
- (4 -1 1), 41.06°, d = 2.198 Å, I 26
- (3 -2 2), 41.74°, d = 2.164 Å, I 22
- (2 2 2), 48.32°, d = 1.884 Å, I 17
- (5 -4 1), 51.37°, d = 1.779 Å, I 19



Y6MgGe2S14: calculated X-ray diffraction stick pattern (Cu Ka), based on a DFT-relaxed cell (GGA-PBE, the Materials Project).
Neutral-atom scattering factors, no anomalous dispersion.

Atomic structure:
Unit cell a=9.9656 b=9.9656 c=5.6940 alpha=90.00 beta=90.00 gamma=120.00
Space group P3 (No. 143)
Asymmetric unit:
Y  0.0225  0.5638  0.0000 x3
Y  0.3101  0.1026  0.5024 x3
Mg  0.6667  0.3333  0.2683 x1
Ge  0.0000  0.0000  0.9215 x1
Ge  0.3333  0.6667  0.4176 x1
S  0.0000  0.0000  0.3056 x1
S  0.0822  0.8493  0.7574 x3
S  0.1826  0.4338  0.2543 x3
S  0.3333  0.6667  0.8024 x1
S  0.4149  0.1733  0.0315 x3
S  0.5044  0.4222  0.5122 x3

Principal peaks in the range 2θ from 10° to 80°, sorted by position:
- (2 0 0), 20.58°, d = 4.315 Å, I 40
- (2 -1 1), 23.73°, d = 3.750 Å, I 31
- (0 2 1), 25.91°, d = 3.439 Å, I 100
- (0 0 2), 31.42°, d = 2.847 Å, I 22
- (3 -1 1), 31.61°, d = 2.830 Å, I 23
- (3 0 1), 34.94°, d = 2.568 Å, I 27
- (2 2 0), 36.05°, d = 2.491 Å, I 53
- (1 3 0), 37.58°, d = 2.394 Å, I 47
- (2 0 2), 37.86°, d = 2.376 Å, I 50
- (3 1 1), 40.90°, d = 2.207 Å, I 35
- (1 2 2), 42.13°, d = 2.145 Å, I 32
- (3 1 2), 49.77°, d = 1.832 Å, I 23



Mg6SiGe2: calculated X-ray diffraction stick pattern (Cu Ka), based on a DFT-relaxed cell (GGA-PBE, the Materials Project).
Neutral-atom scattering factors, no anomalous dispersion.

Atomic structure:
Unit cell a=4.5323 b=6.3981 c=13.5764 alpha=90.00 beta=90.00 gamma=90.00
Space group Immm (No. 71)
Asymmetric unit:
Mg  0.0000  0.2490  0.0000 x4
Mg  0.0000  0.2505  0.3337 x8
Si  0.0000  0.5000  0.5000 x2
Ge  0.0000  0.5000  0.1667 x4

Principal peaks in the range 2θ from 10° to 80°, sorted by position:
- (0 0 2), 13.04°, d = 6.788 Å, I 4
- (0 1 1), 15.31°, d = 5.788 Å, I 6
- (1 1 0), 24.08°, d = 3.697 Å, I 74
- (1 1 2), 27.46°, d = 3.248 Å, I 4
- (2 0 0), 39.82°, d = 2.264 Å, I 100
- (2 1 3), 47.07°, d = 1.930 Å, I 35
- (2 0 6), 57.58°, d = 1.601 Å, I 16
- (3 1 0), 63.31°, d = 1.469 Å, I 12
- (3 2 3), 72.29°, d = 1.307 Å, I 27
- (0 4 6), 72.35°, d = 1.306 Å, I 5
- (3 3 0), 77.43°, d = 1.233 Å, I 7
- (1 5 0), 77.51°, d = 1.231 Å, I 4